Structure and simulated powder X-ray diffraction pattern of MgV2Au2S4 (a GGA-PBE-relaxed structure; CuKα).
Intensities are scaled so that the largest is 100.

Principal peaks in the range 2θ = 10–90°, sorted by position:
hkl 0 0 2, 10.4 deg, intensity 91
hkl 0 0 4, 20.9 deg, intensity 45
hkl 1 0 0, 31.9 deg, intensity 94
hkl 0 1 2, 33.6 deg, intensity 100
hkl 1 0 3, 35.7 deg, intensity 28
hkl 1 0 4, 38.4 deg, intensity 39
hkl 1 0 5, 41.7 deg, intensity 20
hkl 0 1 6, 45.5 deg, intensity 41
hkl 1 0 7, 49.6 deg, intensity 50
hkl 1 1 0, 56.8 deg, intensity 34

Structure:
a = 3.241 Å, b = 3.241 Å, c = 16.994 Å
α = 90.00°, β = 90.00°, γ = 120.00°
Element x y z (fractional)
Mg1 0.000 0.000 0.000
V1 0.000 0.000 0.654
V2 0.333 0.667 0.209
Au1 0.667 0.333 0.432
Au2 0.667 0.333 0.887
S1 0.667 0.333 0.122
S2 0.667 0.333 0.293
S3 0.667 0.333 0.571
S4 0.667 0.333 0.739